# 1
Computed X-ray powder pattern
Compound: Pm4Dy5Th2
Radiation: Cu Ka
Structure: a DFT-relaxed cell (GGA-PBE, Alexandria)
No peak broadening, texture or thermal motion is included.

Cell and atoms:
```
Pm4Dy5Th2
1.0
-1.750 5.794 9.194
1.750 -5.794 9.194
1.750 5.794 -9.194
Pm Dy Th
4 5 2
direct
0.091 0.091 0.000
0.235 0.500 0.735
0.765 0.500 0.265
0.909 0.909 0.000
0.029 0.320 0.709
0.389 0.680 0.709
0.500 0.000 0.500
0.611 0.320 0.291
0.971 0.680 0.291
0.298 0.298 0.000
0.702 0.702 0.000
```

Main lines, in order of rising 2θ (10° ≤ 2θ ≤ 90°):
2θ 25.41, rel. 61
2θ 29.39, rel. 51
2θ 30.23, rel. 96
2θ 30.87, rel. 80
2θ 33.07, rel. 41
2θ 33.65, rel. 100
2θ 34.59, rel. 65
2θ 35.41, rel. 94
2θ 47.67, rel. 53
2θ 61.99, rel. 41



# 2
Computed X-ray powder pattern
Compound: Pm12DyTh5
Radiation: Cu Ka
Structure: a DFT-relaxed cell (GGA-PBE, Alexandria)
No peak broadening, texture or thermal motion is included.

Cell and atoms:
```
Pm12DyTh5
1.0
3.142 -5.443 0.000
3.142 5.443 0.000
-2.089 0.000 17.699
Pm Dy Th
12 1 5
direct
0.053 0.390 0.162
0.113 0.113 0.337
0.220 0.554 0.661
0.283 0.283 0.838
0.390 0.053 0.162
0.446 0.780 0.339
0.554 0.220 0.661
0.610 0.947 0.838
0.717 0.717 0.162
0.780 0.446 0.339
0.887 0.887 0.663
0.947 0.610 0.838
0.000 0.000 0.000
0.166 0.834 0.500
0.333 0.667 0.000
0.500 0.500 0.500
0.667 0.333 0.000
0.834 0.166 0.500
```

Main lines, in order of rising 2θ (10° ≤ 2θ ≤ 90°):
2θ 29.21, rel. 33
2θ 29.65, rel. 68
2θ 30.30, rel. 77
2θ 30.80, rel. 25
2θ 31.50, rel. 100
2θ 33.13, rel. 92
2θ 36.06, rel. 37
2θ 50.30, rel. 59
2θ 59.85, rel. 69
2θ 84.70, rel. 25



# 3
Computed X-ray powder pattern
Compound: Pm2Dy5Th
Radiation: Cu Ka
Structure: a DFT-relaxed cell (GGA-PBE, Alexandria)
No peak broadening, texture or thermal motion is included.

Cell and atoms:
```
Pm2Dy5Th
1.0
7.135 0.000 0.000
0.000 14.300 0.000
0.000 0.000 5.074
Pm Dy Th
4 10 2
direct
0.247 0.123 0.000
0.253 0.623 0.000
0.747 0.377 0.000
0.753 0.877 0.000
0.000 0.500 0.500
0.004 0.249 0.500
0.242 0.877 0.000
0.258 0.377 0.000
0.496 0.749 0.500
0.500 0.000 0.500
0.504 0.251 0.500
0.742 0.623 0.000
0.758 0.123 0.000
0.996 0.751 0.500
0.000 0.000 0.500
0.500 0.500 0.500
```

Main lines, in order of rising 2θ (10° ≤ 2θ ≤ 90°):
2θ 30.61, rel. 100
2θ 35.38, rel. 17
2θ 35.55, rel. 34
2θ 51.04, rel. 30
2θ 51.21, rel. 6
2θ 60.57, rel. 15
2θ 60.80, rel. 28
2θ 63.73, rel. 12
2θ 83.19, rel. 12
2θ 86.00, rel. 8



# 4
Computed X-ray powder pattern
Compound: Pm2DyTm4Th
Radiation: Cu Ka
Structure: a DFT-relaxed cell (GGA-PBE, Alexandria)
No peak broadening, texture or thermal motion is included.

Cell and atoms:
```
Pm2DyTm4Th
1.0
5.054 0.000 0.000
0.000 5.054 0.000
0.000 0.000 9.882
Pm Dy Tm Th
2 1 4 1
direct
0.000 0.000 0.000
0.500 0.500 0.500
0.000 0.000 0.500
0.000 0.500 0.247
0.000 0.500 0.753
0.500 0.000 0.247
0.500 0.000 0.753
0.500 0.500 0.000
```

Main lines, in order of rising 2θ (10° ≤ 2θ ≤ 90°):
2θ 30.88, rel. 100
2θ 35.52, rel. 35
2θ 36.37, rel. 16
2θ 51.12, rel. 12
2θ 51.75, rel. 24
2θ 60.92, rel. 29
2θ 62.05, rel. 14
2θ 64.34, rel. 12
2θ 83.47, rel. 6
2θ 84.47, rel. 12



# 5
Computed X-ray powder pattern
Compound: Pm2DyYTh
Radiation: Cu Ka
Structure: a DFT-relaxed cell (GGA-PBE, Alexandria)
No peak broadening, texture or thermal motion is included.

Cell and atoms:
```
Pm2DyYTh
1.0
8.336 0.000 0.000
0.000 6.491 0.000
-0.020 0.000 6.385
Pm Dy Y Th
4 2 2 2
direct
0.194 0.210 0.251
0.194 0.790 0.751
0.806 0.210 0.249
0.806 0.790 0.749
0.500 0.500 0.000
0.500 0.500 0.500
0.000 0.314 0.750
0.000 0.686 0.250
0.500 0.063 0.750
0.500 0.937 0.250
```

Main lines, in order of rising 2θ (10° ≤ 2θ ≤ 90°):
2θ 10.61, rel. 57
2θ 27.95, rel. 37
2θ 29.05, rel. 100
2θ 29.54, rel. 71
2θ 31.22, rel. 45
2θ 32.22, rel. 39
2θ 32.77, rel. 37
2θ 33.06, rel. 68
2θ 35.05, rel. 46
2θ 45.55, rel. 27



# 6
Computed X-ray powder pattern
Compound: Pm2Dy2Y6Th
Radiation: Cu Ka
Structure: a DFT-relaxed cell (GGA-PBE, Alexandria)
No peak broadening, texture or thermal motion is included.

Cell and atoms:
```
Pm2Dy2Y6Th
1.0
2.855 -6.019 0.000
2.855 6.019 0.000
-0.008 0.000 10.656
Pm Dy Y Th
2 2 6 1
direct
0.136 0.864 0.000
0.864 0.136 0.000
0.202 0.798 0.500
0.798 0.202 0.500
0.001 0.001 0.291
0.348 0.651 0.788
0.349 0.652 0.212
0.651 0.348 0.788
0.652 0.349 0.212
0.999 0.999 0.709
0.500 0.500 0.500
```

Main lines, in order of rising 2θ (10° ≤ 2θ ≤ 90°):
2θ 19.11, rel. 12
2θ 30.56, rel. 27
2θ 30.87, rel. 21
2θ 31.33, rel. 36
2θ 32.02, rel. 100
2θ 33.64, rel. 20
2θ 44.56, rel. 15
2θ 46.63, rel. 16
2θ 56.20, rel. 20
2θ 62.13, rel. 13



# 7
Computed X-ray powder pattern
Compound: Pm3Dy6Tl
Radiation: Cu Ka
Structure: a DFT-relaxed cell (GGA-PBE, Alexandria)
No peak broadening, texture or thermal motion is included.

Cell and atoms:
```
Pm3Dy6Tl
1.0
12.841 0.000 0.000
0.000 3.517 0.000
-2.711 0.000 14.085
Pm Dy Tl
6 12 2
direct
0.075 0.250 0.102
0.368 0.750 0.495
0.422 0.250 0.903
0.578 0.750 0.097
0.632 0.250 0.505
0.925 0.750 0.898
0.110 0.250 0.462
0.191 0.750 0.922
0.226 0.750 0.284
0.245 0.750 0.689
0.342 0.250 0.117
0.489 0.250 0.690
0.511 0.750 0.310
0.658 0.750 0.883
0.755 0.250 0.311
0.774 0.250 0.716
0.809 0.250 0.078
0.890 0.750 0.538
0.035 0.250 0.724
0.965 0.750 0.276
```

Main lines, in order of rising 2θ (10° ≤ 2θ ≤ 90°):
2θ 30.35, rel. 48
2θ 31.05, rel. 74
2θ 31.77, rel. 100
2θ 33.24, rel. 75
2θ 37.03, rel. 29
2θ 49.54, rel. 18
2θ 52.00, rel. 17
2θ 54.71, rel. 12
2θ 61.81, rel. 21
2θ 62.23, rel. 14



# 8
Computed X-ray powder pattern
Compound: Pm2Dy3Tl2
Radiation: Cu Ka
Structure: a DFT-relaxed cell (GGA-PBE, Alexandria)
No peak broadening, texture or thermal motion is included.

Cell and atoms:
```
Pm2Dy3Tl2
1.0
4.725 -2.733 0.000
4.725 2.733 0.000
-3.162 0.000 8.153
Pm Dy Tl
2 3 2
direct
0.076 0.076 0.228
0.924 0.924 0.772
0.346 0.346 0.039
0.500 0.500 0.500
0.654 0.654 0.961
0.217 0.217 0.651
0.783 0.783 0.349
```

Main lines, in order of rising 2θ (10° ≤ 2θ ≤ 90°):
2θ 31.84, rel. 100
2θ 32.80, rel. 100
2θ 46.37, rel. 36
2θ 56.12, rel. 16
2θ 57.96, rel. 37
2θ 58.56, rel. 19
2θ 66.55, rel. 10
2θ 68.81, rel. 10
2θ 76.15, rel. 9
2θ 77.73, rel. 11



# 9
Computed X-ray powder pattern
Compound: Pm5DyTl4
Radiation: Cu Ka
Structure: a DFT-relaxed cell (GGA-PBE, Alexandria)
No peak broadening, texture or thermal motion is included.

Cell and atoms:
```
Pm5DyTl4
1.0
3.676 0.000 0.000
0.000 3.676 0.000
0.000 0.000 22.307
Pm Dy Tl
5 1 4
direct
0.000 0.000 0.000
0.000 0.000 0.194
0.000 0.000 0.387
0.000 0.000 0.613
0.000 0.000 0.806
0.500 0.500 0.500
0.500 0.500 0.097
0.500 0.500 0.291
0.500 0.500 0.709
0.500 0.500 0.903
```

Main lines, in order of rising 2θ (10° ≤ 2θ ≤ 90°):
2θ 31.53, rel. 100
2θ 34.50, rel. 42
2θ 40.44, rel. 11
2θ 49.59, rel. 15
2θ 54.18, rel. 18
2θ 59.96, rel. 32
2θ 65.84, rel. 10
2θ 68.00, rel. 7
2θ 83.08, rel. 7
2θ 88.69, rel. 7



# 10
Computed X-ray powder pattern
Compound: Pm4Dy5Tl2
Radiation: Cu Ka
Structure: a DFT-relaxed cell (GGA-PBE, Alexandria)
No peak broadening, texture or thermal motion is included.

Cell and atoms:
```
Pm4Dy5Tl2
1.0
2.625 1.516 15.931
-2.625 1.516 15.931
0.000 -3.031 15.931
Pm Dy Tl
4 5 2
direct
0.073 0.073 0.073
0.224 0.224 0.224
0.776 0.776 0.776
0.927 0.927 0.927
0.000 0.000 0.000
0.149 0.149 0.149
0.302 0.302 0.302
0.698 0.698 0.698
0.851 0.851 0.851
0.376 0.376 0.376
0.624 0.624 0.624
```

Main lines, in order of rising 2θ (10° ≤ 2θ ≤ 90°):
2θ 31.29, rel. 99
2θ 32.81, rel. 30
2θ 34.15, rel. 100
2θ 46.99, rel. 32
2θ 59.36, rel. 32
2θ 61.15, rel. 19
2θ 63.37, rel. 23
2θ 71.93, rel. 12
2θ 80.52, rel. 13
2θ 84.07, rel. 10



# 11
Computed X-ray powder pattern
Compound: Pm4Dy9Tl11
Radiation: Cu Ka
Structure: a DFT-relaxed cell (GGA-PBE, Alexandria)
No peak broadening, texture or thermal motion is included.

Cell and atoms:
```
Pm4Dy9Tl11
1.0
8.145 -11.587 0.000
8.145 11.587 0.000
0.000 0.000 3.584
Pm Dy Tl
4 9 11
direct
0.087 0.250 0.000
0.250 0.087 0.000
0.750 0.913 0.000
0.913 0.750 0.000
0.000 0.000 0.000
0.113 0.660 0.000
0.297 0.487 0.000
0.340 0.887 0.000
0.487 0.297 0.000
0.513 0.703 0.000
0.660 0.113 0.000
0.703 0.513 0.000
0.887 0.340 0.000
0.091 0.454 0.500
0.124 0.876 0.500
0.294 0.294 0.500
0.312 0.688 0.500
0.454 0.091 0.500
0.500 0.500 0.500
0.546 0.909 0.500
0.688 0.312 0.500
0.706 0.706 0.500
0.876 0.124 0.500
0.909 0.546 0.500
```

Main lines, in order of rising 2θ (10° ≤ 2θ ≤ 90°):
2θ 31.93, rel. 73
2θ 32.04, rel. 75
2θ 33.30, rel. 100
2θ 33.62, rel. 77
2θ 34.14, rel. 91
2θ 37.51, rel. 35
2θ 50.96, rel. 27
2θ 58.14, rel. 51
2θ 60.70, rel. 43
2θ 62.44, rel. 26



# 12
Computed X-ray powder pattern
Compound: Pm3DyTl
Radiation: Cu Ka
Structure: a DFT-relaxed cell (GGA-PBE, Alexandria)
No peak broadening, texture or thermal motion is included.

Cell and atoms:
```
Pm3DyTl
1.0
2.444 -12.895 0.000
2.444 12.895 0.000
0.000 0.000 4.897
Pm Dy Tl
6 2 2
direct
0.052 0.948 0.750
0.251 0.749 0.750
0.447 0.553 0.750
0.553 0.447 0.250
0.749 0.251 0.250
0.948 0.052 0.250
0.349 0.651 0.250
0.651 0.349 0.750
0.153 0.847 0.250
0.847 0.153 0.750
```

Main lines, in order of rising 2θ (10° ≤ 2θ ≤ 90°):
2θ 31.13, rel. 100
2θ 34.79, rel. 18
2θ 36.74, rel. 32
2θ 51.49, rel. 24
2θ 52.94, rel. 11
2θ 60.10, rel. 15
2θ 62.70, rel. 27
2θ 64.91, rel. 12
2θ 84.19, rel. 12
2θ 86.48, rel. 6



# 13
Computed X-ray powder pattern
Compound: Pm2Dy2Tl
Radiation: Cu Ka
Structure: a DFT-relaxed cell (GGA-PBE, Alexandria)
No peak broadening, texture or thermal motion is included.

Cell and atoms:
```
Pm2Dy2Tl
1.0
4.286 -4.759 0.000
4.286 4.759 0.000
-3.774 0.000 7.689
Pm Dy Tl
4 4 2
direct
0.108 0.736 0.787
0.264 0.892 0.213
0.736 0.108 0.787
0.892 0.264 0.213
0.222 0.222 0.613
0.345 0.345 0.069
0.655 0.655 0.931
0.778 0.778 0.387
0.331 0.669 0.500
0.669 0.331 0.500
```

Main lines, in order of rising 2θ (10° ≤ 2θ ≤ 90°):
2θ 29.86, rel. 87
2θ 30.75, rel. 100
2θ 31.68, rel. 90
2θ 32.33, rel. 94
2θ 32.94, rel. 80
2θ 35.23, rel. 79
2θ 35.73, rel. 39
2θ 53.99, rel. 24
2θ 57.58, rel. 29
2θ 58.38, rel. 29